(1)
Diffraction record for TbNd2Tl2Zn2. The XRD peak list is simulated, not measured: it uses a PBE-relaxed structure and Cu Kα X-rays.
Intensities are scaled so that the largest is 100.

Lattice parameters (Å, degrees): 9.8773 9.8773 9.8773 27.93 27.93 27.93
Sites, in units of the cell vectors:
Tb (0.0000, 0.0000, 0.0000)
Nd (0.1258, 0.1258, 0.1258)
Nd (0.8742, 0.8742, 0.8742)
Tl (0.2661, 0.2661, 0.2661)
Tl (0.7339, 0.7339, 0.7339)
Zn (0.3897, 0.3897, 0.3897)
Zn (0.6103, 0.6103, 0.6103)

Largest 10 diffraction maxima, in order of falling intensity, 10° ≤ 2θ ≤ 80°:
2θ = 37.74°, rel. 100; 2θ = 33.24°, rel. 99; 2θ = 30.87°, rel. 65; 2θ = 62.57°, rel. 34; 2θ = 51.16°, rel. 29; 2θ = 65.29°, rel. 28; 2θ = 21.75°, rel. 19; 2θ = 68.13°, rel. 18; 2θ = 49.52°, rel. 18; 2θ = 22.42°, rel. 17

---

(2)
Diffraction record for Tl8ZnTe6. The XRD peak list is simulated, not measured: it uses a PBE-relaxed structure and Cu Kα X-rays.
Intensities are scaled so that the largest is 100.

Lattice parameters (Å, degrees): 9.3439 9.9876 11.9774 90.00 90.00 90.00
Sites, in units of the cell vectors:
Tl (0.0000, 0.2236, 0.1119)
Tl (0.0000, 0.2377, 0.6820)
Tl (0.2093, 0.5831, 0.5000)
Tl (0.2154, 0.7005, 0.7829)
Tl (0.2320, 0.9552, 0.4903)
Tl (0.2680, 0.0448, 0.9903)
Tl (0.2846, 0.2995, 0.2829)
Tl (0.2907, 0.4169, 0.0000)
Tl (0.5000, 0.7623, 0.1820)
Tl (0.5000, 0.7764, 0.6119)
Tl (0.7093, 0.4169, 0.0000)
Tl (0.7154, 0.2995, 0.2829)
Tl (0.7320, 0.0448, 0.9903)
Tl (0.7680, 0.9552, 0.4903)
Tl (0.7846, 0.7005, 0.7829)
Tl (0.7907, 0.5831, 0.5000)
Zn (0.0000, 0.7475, 0.1925)
Zn (0.5000, 0.2525, 0.6925)
Te (0.0000, 0.4460, 0.8511)
Te (0.0000, 0.5127, 0.3001)
Te (0.0000, 0.9529, 0.7094)
Te (0.0000, 0.9822, 0.2995)
Te (0.2305, 0.7292, 0.0509)
Te (0.2695, 0.2708, 0.5509)
Te (0.5000, 0.0178, 0.7995)
Te (0.5000, 0.0471, 0.2094)
Te (0.5000, 0.4873, 0.8001)
Te (0.5000, 0.5540, 0.3511)
Te (0.7305, 0.2708, 0.5509)
Te (0.7695, 0.7292, 0.0509)

Largest 10 diffraction maxima, in order of falling intensity, 10° ≤ 2θ ≤ 80°:
2θ = 30.12°, rel. 100; 2θ = 24.16°, rel. 100; 2θ = 27.81°, rel. 60; 2θ = 40.21°, rel. 57; 2θ = 23.19°, rel. 52; 2θ = 30.79°, rel. 51; 2θ = 33.90°, rel. 51; 2θ = 38.54°, rel. 46; 2θ = 35.61°, rel. 46; 2θ = 40.07°, rel. 35

---

(3)
Diffraction record for Er6Ga3Ru. The XRD peak list is simulated, not measured: it uses a PBE-relaxed structure and Cu Kα X-rays.
Intensities are scaled so that the largest is 100.

Lattice parameters (Å, degrees): 8.5853 11.2914 4.9756 90.00 90.00 90.00
Sites, in units of the cell vectors:
Er (0.0018, 0.2453, 0.0000)
Er (0.1581, 0.0861, 0.5000)
Er (0.1787, 0.4182, 0.5000)
Er (0.3213, 0.9182, 0.0000)
Er (0.3419, 0.5861, 0.0000)
Er (0.4982, 0.7453, 0.5000)
Er (0.5018, 0.2547, 0.5000)
Er (0.6581, 0.4139, 0.0000)
Er (0.6787, 0.0818, 0.0000)
Er (0.8213, 0.5818, 0.5000)
Er (0.8419, 0.9139, 0.5000)
Er (0.9982, 0.7547, 0.0000)
Ga (0.0000, 0.5000, 0.0000)
Ga (0.1646, 0.7438, 0.5000)
Ga (0.3354, 0.2438, 0.0000)
Ga (0.5000, 0.0000, 0.5000)
Ga (0.6646, 0.7562, 0.0000)
Ga (0.8354, 0.2562, 0.5000)
Ru (0.0000, 0.0000, 0.0000)
Ru (0.5000, 0.5000, 0.5000)

Largest 10 diffraction maxima, in order of falling intensity, 10° ≤ 2θ ≤ 80°:
2θ = 31.59°, rel. 100; 2θ = 36.21°, rel. 81; 2θ = 38.13°, rel. 45; 2θ = 36.10°, rel. 42; 2θ = 61.86°, rel. 27; 2θ = 48.74°, rel. 21; 2θ = 26.05°, rel. 19; 2θ = 62.26°, rel. 18; 2θ = 64.99°, rel. 15; 2θ = 48.86°, rel. 14